Starting from a crystal structure in Alexandria, relaxed with PBE, the powder diffractogram of Dy8GaOs2 was simulated for Cu Kα (weighted mean of Kα1 and Kα2).
Neutral-atom scattering factors, no anomalous dispersion.

Structure:
```
data_Dy8GaOs2
_chemical_formula_sum 'Dy16 Ga2 Os4'
_symmetry_space_group_name_H-M 'C 1 m 1'
_symmetry_Int_Tables_number 8
_symmetry_space_group_name_Hall 'C -2y'
_cell_length_a 8.691
_cell_length_b 12.945
_cell_length_c 5.485
_cell_angle_alpha 90.00
_cell_angle_beta 104.01
_cell_angle_gamma 90.00
loop_
_atom_site_label
_atom_site_fract_x
_atom_site_fract_y
_atom_site_fract_z
Dy1 0.000 0.000 0.000
Dy2 0.073 0.367 0.786
Dy3 0.179 0.133 0.611
Dy4 0.253 0.500 0.397
Dy5 0.376 0.241 0.198
Ga1 0.376 0.000 0.200
Os1 0.376 0.314 0.699
```

Principal peaks in the range 15 to 90 degrees two-theta, by intensity:
2theta  I_rel  hkl
30.11  1000  2 0 1
32.38  902  0 4 1
32.97  731  3 1 -1
38.21  558  3 3 0
34.95  515  2 4 0
39.03  415  1 5 -1
45.20  400  4 2 0
36.51  384  0 2 2
16.66  371  0 0 1
33.49  362  1 1 -2

Starting from a crystal structure in Alexandria, relaxed with PBE, the powder diffractogram of DyGa2SiOs2 was simulated for Cu Kα (weighted mean of Kα1 and Kα2).
Neutral-atom scattering factors, no anomalous dispersion.

Structure:
```
data_DyGa2SiOs2
_chemical_formula_sum 'Dy1 Ga2 Si1 Os2'
_symmetry_space_group_name_H-M 'P 4/m m m'
_symmetry_Int_Tables_number 123
_symmetry_space_group_name_Hall '-P 4 2'
_cell_length_a 4.462
_cell_length_b 4.462
_cell_length_c 5.558
_cell_angle_alpha 90.00
_cell_angle_beta 90.00
_cell_angle_gamma 90.00
loop_
_atom_site_label
_atom_site_fract_x
_atom_site_fract_y
_atom_site_fract_z
Dy1 0.000 0.000 0.000
Ga1 0.500 0.500 0.226
Si1 0.000 0.000 0.500
Os1 0.000 0.500 0.500
```

Principal peaks in the range 15 to 90 degrees two-theta, by intensity:
2theta  I_rel  hkl
32.63  1000  1 1 1
40.43  507  2 0 0
38.15  257  1 0 2
15.95  246  0 0 1
68.62  239  3 1 1
43.39  175  1 1 2
58.50  172  2 2 0
52.60  170  2 0 2
32.21  165  0 0 2
56.80  159  2 1 2

Starting from a crystal structure in Alexandria, relaxed with PBE, the powder diffractogram of Dy4GaPS2 was simulated for Cu Kα (weighted mean of Kα1 and Kα2).
Neutral-atom scattering factors, no anomalous dispersion.

Structure:
```
data_Dy4GaPS2
_chemical_formula_sum 'Dy4 Ga1 P1 S2'
_symmetry_space_group_name_H-M 'P 1 2/m 1'
_symmetry_Int_Tables_number 10
_symmetry_space_group_name_Hall '-P 2y'
_cell_length_a 6.973
_cell_length_b 3.936
_cell_length_c 6.982
_cell_angle_alpha 90.00
_cell_angle_beta 108.84
_cell_angle_gamma 90.00
loop_
_atom_site_label
_atom_site_fract_x
_atom_site_fract_y
_atom_site_fract_z
Dy1 0.243 0.000 0.246
Dy2 0.245 0.500 0.745
Ga1 0.500 0.500 0.500
P1 0.000 0.000 0.500
S1 0.000 0.500 0.000
S2 0.500 0.000 0.000
```

Principal peaks in the range 15 to 90 degrees two-theta, by intensity:
2theta  I_rel  hkl
31.66  1000  1 1 1
45.29  735  1 1 -3
31.53  507  2 0 -2
27.01  491  0 0 2
27.58  470  1 1 -1
55.68  196  0 0 4
44.64  190  2 0 2
56.94  186  2 2 -2
46.12  175  0 2 0
74.90  164  3 1 -5

Starting from a crystal structure in Alexandria, relaxed with PBE, the powder diffractogram of Dy8Ga3PSe3 was simulated for Cu Kα (weighted mean of Kα1 and Kα2).
Neutral-atom scattering factors, no anomalous dispersion.

Structure:
```
data_Dy8Ga3PSe3
_chemical_formula_sum 'Dy16 Ga6 P2 Se6'
_symmetry_space_group_name_H-M 'C 1 2/m 1'
_symmetry_Int_Tables_number 12
_symmetry_space_group_name_Hall '-C 2y'
_cell_length_a 13.731
_cell_length_b 7.944
_cell_length_c 8.464
_cell_angle_alpha 90.00
_cell_angle_beta 122.68
_cell_angle_gamma 90.00
loop_
_atom_site_label
_atom_site_fract_x
_atom_site_fract_y
_atom_site_fract_z
Dy1 0.001 0.243 0.260
Dy2 0.242 0.000 0.740
Dy3 0.248 0.500 0.744
Ga1 0.000 0.000 0.000
Ga2 0.250 0.250 0.000
P1 0.000 0.000 0.500
Se1 0.000 0.500 0.500
Se2 0.250 0.250 0.500
```

Principal peaks in the range 15 to 90 degrees two-theta, by intensity:
2theta  I_rel  hkl
30.94  1000  4 0 0
42.88  403  2 2 2
45.73  338  0 4 0
27.26  270  2 2 0
71.14  173  6 2 2
56.21  121  4 4 0
64.48  118  8 0 0
25.00  110  0 0 2
75.34  100  10 2 -2
52.82  88  6 2 0

Starting from a crystal structure in Alexandria, relaxed with PBE, the powder diffractogram of DyPaGa6 was simulated for Cu Kα (weighted mean of Kα1 and Kα2).
Neutral-atom scattering factors, no anomalous dispersion.

Structure:
```
data_DyPaGa6
_chemical_formula_sum 'Dy1 Pa1 Ga6'
_symmetry_space_group_name_H-M 'P -6 m 2'
_symmetry_Int_Tables_number 187
_symmetry_space_group_name_Hall 'P -6 2'
_cell_length_a 6.2695
_cell_length_b 6.2695
_cell_length_c 4.5633
_cell_angle_alpha 90.00
_cell_angle_beta 90.00
_cell_angle_gamma 120.00
loop_
_atom_site_label
_atom_site_fract_x
_atom_site_fract_y
_atom_site_fract_z
Dy1 0.0000 0.0000 0.0000
Pa1 0.6667 0.3333 0.5000
Ga1 0.0385 0.5192 0.0000
Ga2 0.1839 0.3678 0.5000
```

Principal peaks in the range 15 to 90 degrees two-theta, by intensity:
2theta  I_rel  hkl
38.59  1000  2 0 1
25.50  347  1 0 1
32.99  257  2 0 0
39.50  219  0 0 2
73.27  178  2 2 2
58.92  171  2 2 0
71.03  164  2 0 3
28.47  148  1 1 0
52.38  139  2 0 2
72.67  127  4 0 1

Starting from a crystal structure in Alexandria, relaxed with PBE, the powder diffractogram of Dy4GaPb was simulated for Cu Kα (weighted mean of Kα1 and Kα2).
Neutral-atom scattering factors, no anomalous dispersion.

Structure:
```
data_Dy4GaPb
_chemical_formula_sum 'Dy4 Ga1 Pb1'
_symmetry_space_group_name_H-M 'P 4/m m m'
_symmetry_Int_Tables_number 123
_symmetry_space_group_name_Hall '-P 4 2'
_cell_length_a 5.055
_cell_length_b 5.055
_cell_length_c 7.224
_cell_angle_alpha 90.00
_cell_angle_beta 90.00
_cell_angle_gamma 90.00
loop_
_atom_site_label
_atom_site_fract_x
_atom_site_fract_y
_atom_site_fract_z
Dy1 0.000 0.500 0.232
Ga1 0.000 0.000 0.000
Pb1 0.500 0.500 0.500
```

Principal peaks in the range 15 to 90 degrees two-theta, by intensity:
2theta  I_rel  hkl
35.33  1000  1 1 2
35.52  511  2 0 0
63.66  365  3 1 2
21.46  331  1 0 1
24.91  200  1 1 0
51.11  183  2 2 0
63.29  166  2 0 4
41.87  120  2 1 1
74.73  103  2 2 4
27.85  93  1 1 1

Starting from a crystal structure in Alexandria, relaxed with PBE, the powder diffractogram of Dy5GaPb4 was simulated for Cu Kα (weighted mean of Kα1 and Kα2).
Neutral-atom scattering factors, no anomalous dispersion.

Structure:
```
data_Dy5GaPb4
_chemical_formula_sum 'Dy10 Ga2 Pb8'
_symmetry_space_group_name_H-M 'I 4'
_symmetry_Int_Tables_number 79
_symmetry_space_group_name_Hall 'I 4'
_cell_length_a 9.836
_cell_length_b 9.836
_cell_length_c 6.234
_cell_angle_alpha 90.00
_cell_angle_beta 90.00
_cell_angle_gamma 90.00
loop_
_atom_site_label
_atom_site_fract_x
_atom_site_fract_y
_atom_site_fract_z
Dy1 0.000 0.000 0.000
Dy2 0.102 0.713 0.484
Ga1 0.000 0.000 0.503
Pb1 0.091 0.694 0.983
```

Principal peaks in the range 15 to 90 degrees two-theta, by intensity:
2theta  I_rel  hkl
28.68  1000  0 0 2
41.01  764  3 1 2
50.81  269  2 4 2
74.70  247  2 4 4
67.23  231  3 1 4
67.31  108  5 5 0
59.43  80  6 2 0
88.90  55  6 2 4
59.30  44  0 0 4
30.81  33  3 0 1

Starting from a crystal structure in Alexandria, relaxed with PBE, the powder diffractogram of DyYGaPb was simulated for Cu Kα (weighted mean of Kα1 and Kα2).
Neutral-atom scattering factors, no anomalous dispersion.

Structure:
```
data_DyYGaPb
_chemical_formula_sum 'Dy4 Y4 Ga4 Pb4'
_symmetry_space_group_name_H-M 'F -4 3 m'
_symmetry_Int_Tables_number 216
_symmetry_space_group_name_Hall 'F -4 2 3'
_cell_length_a 7.462
_cell_length_b 7.462
_cell_length_c 7.462
_cell_angle_alpha 90.00
_cell_angle_beta 90.00
_cell_angle_gamma 90.00
loop_
_atom_site_label
_atom_site_fract_x
_atom_site_fract_y
_atom_site_fract_z
Dy1 0.000 0.000 0.000
Y1 0.000 0.000 0.500
Ga1 0.250 0.250 0.250
Pb1 0.250 0.250 0.750
```

Principal peaks in the range 15 to 90 degrees two-theta, by intensity:
2theta  I_rel  hkl
33.98  1000  2 2 0
60.81  374  4 2 2
48.82  181  4 0 0
20.62  173  1 1 1
81.60  164  6 2 0
71.52  116  4 4 0
40.08  102  3 1 1
53.53  46  3 3 1
75.35  36  5 3 1
64.93  35  5 1 1